Diffraction record for La5ErHg3. The PXRD pattern is calculated, not measured: it uses a DFT-relaxed cell (GGA-PBE, Alexandria) and λ = 1.5418 Å (Cu Kα).

The 8 most intense peaks (15° ≤ 2θ ≤ 90°), in order of rising 2θ:
(hkl), Position (°2θ), I (rel.)
1 1 2, 31.5, 93
3 0 0, 32.6, 100
3 0 2, 41.6, 16
2 2 2, 46.0, 33
4 1 2, 57.5, 33
3 3 0, 58.2, 19
3 0 4, 62.5, 31
3 3 4, 81.6, 14

Atomic structure:
Cell lengths 9.5181, 9.5181, 7.0650 Å; angles 90.00, 90.00, 120.00 degrees
Space group P6_3/mcm (No. 193)
Symmetry-distinct sites (fractional):
La 0.0000 0.3373 0.2500 [6 per cell]
La 0.3333 0.6667 0.0000 [4 per cell]
Er 0.0000 0.0000 0.0000 [2 per cell]
Hg 0.0000 0.3217 0.7500 [6 per cell]

=====

Diffraction record for LaErMgHg. The PXRD pattern is calculated, not measured: it uses a DFT-relaxed cell (GGA-PBE, Alexandria) and λ = 1.5418 Å (Cu Kα).

The 8 most intense peaks (15° ≤ 2θ ≤ 90°), in order of rising 2θ:
(hkl), Position (°2θ), I (rel.)
1 0 1, 26.2, 17
1 0 2, 32.9, 100
1 1 0, 33.6, 50
1 1 1, 35.5, 12
1 0 3, 41.9, 10
2 0 0, 48.2, 18
1 1 4, 58.3, 16
2 1 2, 59.6, 37

Atomic structure:
Cell lengths 3.7770, 3.7770, 7.8651 Å; angles 90.00, 90.00, 90.00 degrees
Space group P4mm (No. 99)
Symmetry-distinct sites (fractional):
La 0.0000 0.0000 0.0000 [1 per cell]
Er 0.0000 0.0000 0.4891 [1 per cell]
Mg 0.5000 0.5000 0.7262 [1 per cell]
Hg 0.5000 0.5000 0.2804 [1 per cell]

=====

Diffraction record for LaErMg2Hg2. The PXRD pattern is calculated, not measured: it uses a DFT-relaxed cell (GGA-PBE, Alexandria) and λ = 1.5418 Å (Cu Kα).

The 8 most intense peaks (15° ≤ 2θ ≤ 90°), in order of rising 2θ:
(hkl), Position (°2θ), I (rel.)
1 0 1, 24.1, 71
1 0 2, 33.0, 100
1 1 0, 35.6, 84
0 1 3, 44.5, 19
0 2 2, 49.4, 33
2 1 2, 62.3, 32
1 1 4, 65.5, 27
3 0 4, 87.6, 19

Atomic structure:
Cell lengths 5.0418, 5.0418, 6.9144 Å; angles 90.00, 90.00, 120.00 degrees
Space group P-3m1 (No. 164)
Symmetry-distinct sites (fractional):
La 0.0000 0.0000 0.0000 [1 per cell]
Er 0.0000 0.0000 0.5000 [1 per cell]
Mg 0.3333 0.6667 0.7317 [2 per cell]
Hg 0.3333 0.6667 0.2633 [2 per cell]

=====

Diffraction record for LaNdEr2Hg4. The PXRD pattern is calculated, not measured: it uses a DFT-relaxed cell (GGA-PBE, Alexandria) and λ = 1.5418 Å (Cu Kα).

The 8 most intense peaks (15° ≤ 2θ ≤ 90°), in order of rising 2θ:
(hkl), Position (°2θ), I (rel.)
1 0 4, 23.5, 2
1 1 0, 33.4, 100
2 0 8, 48.0, 18
2 1 4, 54.1, 1
3 0 0, 59.7, 38
2 2 0, 70.2, 12
3 1 8, 80.0, 17
0 4 8, 89.6, 4

Atomic structure:
Cell lengths 5.3618, 5.3618, 26.2647 Å; angles 90.00, 90.00, 120.00 degrees
Space group R-3m (No. 166, hexagonal axes)
Symmetry-distinct sites (fractional):
La 0.0000 0.0000 0.0000 [3 per cell]
Nd 0.0000 0.0000 0.5000 [3 per cell]
Er 0.0000 0.0000 0.2495 [6 per cell]
Hg 0.0000 0.0000 0.1261 [6 per cell]
Hg 0.0000 0.0000 0.3761 [6 per cell]

=====

Diffraction record for La2PrErHg2. The PXRD pattern is calculated, not measured: it uses a DFT-relaxed cell (GGA-PBE, Alexandria) and λ = 1.5418 Å (Cu Kα).

The 8 most intense peaks (15° ≤ 2θ ≤ 90°), in order of rising 2θ:
(hkl), Position (°2θ), I (rel.)
1 2 1, 28.0, 37
1 0 2, 29.7, 18
0 2 2, 30.4, 26
1 1 2, 31.1, 100
1 3 0, 32.7, 84
2 0 0, 34.6, 56
0 2 3, 41.1, 35
1 4 3, 56.2, 20

Atomic structure:
Cell lengths 5.1866, 9.6694, 7.3953 Å; angles 90.00, 90.00, 90.00 degrees
Space group Pmc2_1 (No. 26)
Symmetry-distinct sites (fractional):
La 0.0000 0.0589 0.0000 [2 per cell]
La 0.5000 0.1704 0.3161 [2 per cell]
Pr 0.5000 0.4422 0.9735 [2 per cell]
Er 0.0000 0.3249 0.6522 [2 per cell]
Hg 0.0000 0.3666 0.2377 [2 per cell]
Hg 0.5000 0.1595 0.7442 [2 per cell]

=====

Diffraction record for La2Er2TmHg5. The PXRD pattern is calculated, not measured: it uses a DFT-relaxed cell (GGA-PBE, Alexandria) and λ = 1.5418 Å (Cu Kα).

The 8 most intense peaks (15° ≤ 2θ ≤ 90°), in order of rising 2θ:
(hkl), Position (°2θ), I (rel.)
2 1 0, 16.5, 9
4 1 0, 30.6, 25
3 1 1, 32.9, 100
4 2 0, 33.3, 14
3 2 1, 35.5, 28
0 0 2, 46.8, 14
7 2 1, 60.9, 15
3 1 3, 77.9, 11

Atomic structure:
Cell lengths 12.0334, 12.0334, 3.8853 Å; angles 90.00, 90.00, 90.00 degrees
Space group P4/mbm (No. 127)
Symmetry-distinct sites (fractional):
La 0.1707 0.3293 0.0000 [4 per cell]
Er 0.1324 0.6324 0.0000 [4 per cell]
Tm 0.0000 0.0000 0.0000 [2 per cell]
Hg 0.0000 0.5000 0.5000 [2 per cell]
Hg 0.0885 0.8239 0.5000 [8 per cell]

=====

Diffraction record for Li2ErHg3. The PXRD pattern is calculated, not measured: it uses a DFT-relaxed cell (GGA-PBE, Alexandria) and λ = 1.5418 Å (Cu Kα).

The 8 most intense peaks (15° ≤ 2θ ≤ 90°), in order of rising 2θ:
(hkl), Position (°2θ), I (rel.)
1 0 1, 22.1, 23
0 1 2, 25.6, 76
1 0 4, 36.5, 99
1 1 0, 36.6, 100
2 0 2, 45.2, 17
0 2 4, 52.6, 35
3 0 0, 65.8, 55
1 3 4, 89.1, 18

Atomic structure:
Cell lengths 4.9119, 4.9119, 12.0810 Å; angles 90.00, 90.00, 120.00 degrees
Space group P-3m1 (No. 164)
Symmetry-distinct sites (fractional):
Li 0.0000 0.0000 0.0000 [1 per cell]
Li 0.0000 0.0000 0.5000 [1 per cell]
Li 0.3333 0.6667 0.1626 [2 per cell]
Er 0.3333 0.6667 0.6722 [2 per cell]
Hg 0.0000 0.0000 0.2336 [2 per cell]
Hg 0.3333 0.6667 0.4207 [2 per cell]
Hg 0.3333 0.6667 0.9260 [2 per cell]

=====

Diffraction record for LiEr2Hg7. The PXRD pattern is calculated, not measured: it uses a DFT-relaxed cell (GGA-PBE, Alexandria) and λ = 1.5418 Å (Cu Kα).

The 8 most intense peaks (15° ≤ 2θ ≤ 90°), in order of rising 2θ:
(hkl), Position (°2θ), I (rel.)
1 0 1, 21.9, 23
1 0 3, 30.6, 53
1 1 0, 36.1, 100
0 1 4, 36.7, 77
0 2 3, 48.0, 16
2 0 4, 52.4, 28
3 0 0, 64.8, 19
1 2 4, 65.3, 30

Atomic structure:
Cell lengths 4.9823, 4.9823, 11.8797 Å; angles 90.00, 90.00, 120.00 degrees
Space group P3m1 (No. 156)
Symmetry-distinct sites (fractional):
Li 0.0000 0.0000 0.0000 [1 per cell]
Er 0.3333 0.6667 0.8084 [1 per cell]
Er 0.6667 0.3333 0.6032 [1 per cell]
Hg 0.0000 0.0000 0.4386 [1 per cell]
Hg 0.0000 0.0000 0.7234 [1 per cell]
Hg 0.3333 0.6667 0.0590 [1 per cell]
Hg 0.3333 0.6667 0.3008 [1 per cell]
Hg 0.3333 0.6667 0.5462 [1 per cell]
Hg 0.6667 0.3333 0.1975 [1 per cell]
Hg 0.6667 0.3333 0.9178 [1 per cell]

=====

Diffraction record for Er3Mg4Hg4. The PXRD pattern is calculated, not measured: it uses a DFT-relaxed cell (GGA-PBE, Alexandria) and λ = 1.5418 Å (Cu Kα).

The 8 most intense peaks (15° ≤ 2θ ≤ 90°), in order of rising 2θ:
(hkl), Position (°2θ), I (rel.)
0 0 4, 21.9, 27
0 2 2, 23.6, 28
1 2 1, 31.8, 81
1 1 4, 33.7, 100
0 2 6, 39.4, 24
1 3 2, 41.0, 24
2 0 0, 47.0, 20
1 5 4, 64.1, 28

Atomic structure:
Cell lengths 3.8693, 8.4986, 16.2539 Å; angles 90.00, 90.00, 90.00 degrees
Space group Immm (No. 71)
Symmetry-distinct sites (fractional):
Er 0.0000 0.0000 0.0000 [2 per cell]
Er 0.0000 0.5000 0.1091 [4 per cell]
Mg 0.0000 0.3097 0.3322 [8 per cell]
Hg 0.0000 0.0000 0.2454 [4 per cell]
Hg 0.0000 0.2096 0.5000 [4 per cell]

=====

Diffraction record for ErMg4Hg2. The PXRD pattern is calculated, not measured: it uses a DFT-relaxed cell (GGA-PBE, Alexandria) and λ = 1.5418 Å (Cu Kα).

The 8 most intense peaks (15° ≤ 2θ ≤ 90°), in order of rising 2θ:
(hkl), Position (°2θ), I (rel.)
2 1 0, 23.8, 50
1 1 1, 24.5, 100
2 2 0, 30.2, 54
2 1 1, 30.8, 98
3 0 1, 37.7, 72
0 0 2, 39.2, 81
4 1 0, 44.6, 35
5 2 1, 63.1, 35

Atomic structure:
Cell lengths 8.3760, 8.3760, 4.5981 Å; angles 90.00, 90.00, 90.00 degrees
Space group P4_2/mnm (No. 136)
Symmetry-distinct sites (fractional):
Er 0.0000 0.0000 0.0000 [2 per cell]
Mg 0.1013 0.3477 0.5000 [8 per cell]
Hg 0.2003 0.7997 0.5000 [4 per cell]

=====

Diffraction record for NdErMg2Hg4. The PXRD pattern is calculated, not measured: it uses a DFT-relaxed cell (GGA-PBE, Alexandria) and λ = 1.5418 Å (Cu Kα).

The 8 most intense peaks (15° ≤ 2θ ≤ 90°), in order of rising 2θ:
(hkl), Position (°2θ), I (rel.)
0 1 2, 21.3, 18
1 0 4, 24.6, 34
0 1 8, 35.0, 100
1 1 0, 35.2, 100
2 0 8, 50.5, 36
1 0 16, 62.6, 18
1 2 8, 63.0, 37
3 0 0, 63.2, 19

Atomic structure:
Cell lengths 5.0992, 5.0992, 25.1944 Å; angles 90.00, 90.00, 120.00 degrees
Space group R-3m (No. 166, hexagonal axes)
Symmetry-distinct sites (fractional):
Nd 0.0000 0.0000 0.0000 [3 per cell]
Er 0.0000 0.0000 0.5000 [3 per cell]
Mg 0.0000 0.0000 0.2495 [6 per cell]
Hg 0.0000 0.0000 0.1276 [6 per cell]
Hg 0.0000 0.0000 0.3788 [6 per cell]

=====

Diffraction record for NdErMgHg. The PXRD pattern is calculated, not measured: it uses a DFT-relaxed cell (GGA-PBE, Alexandria) and λ = 1.5418 Å (Cu Kα).

The 8 most intense peaks (15° ≤ 2θ ≤ 90°), in order of rising 2θ:
(hkl), Position (°2θ), I (rel.)
1 0 1, 26.3, 18
1 0 2, 33.4, 100
1 1 0, 33.6, 51
1 1 1, 35.6, 11
2 0 0, 48.2, 18
1 1 4, 59.5, 18
2 1 2, 59.9, 38
2 0 4, 70.1, 11

Atomic structure:
Cell lengths 3.7730, 3.7730, 7.6439 Å; angles 90.00, 90.00, 90.00 degrees
Space group P4mm (No. 99)
Symmetry-distinct sites (fractional):
Nd 0.0000 0.0000 0.0000 [1 per cell]
Er 0.0000 0.0000 0.4927 [1 per cell]
Mg 0.5000 0.5000 0.7340 [1 per cell]
Hg 0.5000 0.5000 0.2722 [1 per cell]

=====

Diffraction record for PmEr2MgHg4. The PXRD pattern is calculated, not measured: it uses a DFT-relaxed cell (GGA-PBE, Alexandria) and λ = 1.5418 Å (Cu Kα).

The 8 most intense peaks (15° ≤ 2θ ≤ 90°), in order of rising 2θ:
(hkl), Position (°2θ), I (rel.)
0 1 8, 34.0, 100
1 1 0, 35.0, 96
2 0 8, 49.6, 38
1 0 16, 60.1, 17
1 2 8, 62.2, 37
3 0 0, 62.9, 18
2 1 16, 82.2, 15
3 1 8, 84.0, 16

Atomic structure:
Cell lengths 5.1217, 5.1217, 26.2485 Å; angles 90.00, 90.00, 120.00 degrees
Space group R-3m (No. 166, hexagonal axes)
Symmetry-distinct sites (fractional):
Pm 0.0000 0.0000 0.0000 [3 per cell]
Er 0.0000 0.0000 0.2438 [6 per cell]
Mg 0.0000 0.0000 0.5000 [3 per cell]
Hg 0.0000 0.0000 0.1261 [6 per cell]
Hg 0.0000 0.0000 0.3795 [6 per cell]

=====

Diffraction record for SmErMg2Hg4. The PXRD pattern is calculated, not measured: it uses a DFT-relaxed cell (GGA-PBE, Alexandria) and λ = 1.5418 Å (Cu Kα).

The 8 most intense peaks (15° ≤ 2θ ≤ 90°), in order of rising 2θ:
(hkl), Position (°2θ), I (rel.)
0 1 2, 21.4, 18
1 0 4, 24.7, 33
0 1 8, 35.2, 100
1 1 0, 35.3, 100
2 0 8, 50.7, 36
1 0 16, 63.0, 18
3 0 0, 63.3, 56
3 1 8, 85.3, 17

Atomic structure:
Cell lengths 5.0834, 5.0834, 25.0402 Å; angles 90.00, 90.00, 120.00 degrees
Space group R-3m (No. 166, hexagonal axes)
Symmetry-distinct sites (fractional):
Sm 0.0000 0.0000 0.0000 [3 per cell]
Er 0.0000 0.0000 0.5000 [3 per cell]
Mg 0.0000 0.0000 0.2496 [6 per cell]
Hg 0.0000 0.0000 0.1268 [6 per cell]
Hg 0.0000 0.0000 0.3777 [6 per cell]